# LiMo6Cl13
Simulated X-ray powder pattern, a wavelength of 1.5418 Å. Input: a DFT-relaxed cell (PBE, the Materials Project).
No peak broadening, texture or thermal motion is included.

Principal peaks in the range 10 to 90 degrees two-theta, by angle:
2θ 11.3, rel. 100, (1 0 0); 2θ 11.5, rel. 91, (0 1 -1); 2θ 13.1, rel. 42, (-1 1 1); 2θ 13.3, rel. 40, (0 0 2); 2θ 13.9, rel. 44, (0 1 1); 2θ 14.0, rel. 42, (1 -1 1); 2θ 14.8, rel. 33, (1 0 -2); 2θ 41.6, rel. 11, (3 1 -4); 2θ 43.7, rel. 12, (0 4 -1); 2θ 46.7, rel. 15, (2 0 -7)

Structure:
abc: 8.9089 9.0712 13.9808
angles: 95.60 102.92 113.73
Space group P-1 (No. 2)
Inequivalent atoms, fractional coordinates:
1 Li 0.0304 0.2676 0.2736 (multiplicity 2)
2 Mo 0.2965 0.0028 0.4318 (multiplicity 2)
3 Mo 0.3155 0.3837 0.0470 (multiplicity 2)
4 Mo 0.3558 0.5454 0.9009 (multiplicity 2)
5 Mo 0.3929 0.7706 0.4710 (multiplicity 2)
6 Mo 0.4384 0.0041 0.6190 (multiplicity 2)
7 Mo 0.4520 0.3073 0.9130 (multiplicity 2)
8 Cl 0.0337 0.0183 0.3451 (multiplicity 2)
9 Cl 0.0712 0.2236 0.1082 (multiplicity 2)
10 Cl 0.1455 0.2518 0.8713 (multiplicity 2)
11 Cl 0.1492 0.7868 0.5205 (multiplicity 2)
12 Cl 0.1630 0.5889 0.7617 (multiplicity 2)
13 Cl 0.2356 0.6170 0.0328 (multiplicity 2)
14 Cl 0.2520 0.4682 0.4250 (multiplicity 2)
15 Cl 0.2637 0.7829 0.2965 (multiplicity 2)
16 Cl 0.3464 0.2168 0.5726 (multiplicity 2)
17 Cl 0.3787 0.0368 0.7927 (multiplicity 2)
18 Cl 0.4165 0.1649 0.0552 (multiplicity 2)
19 Cl 0.4690 0.2154 0.3506 (multiplicity 2)
20 Cl 0.4966 0.4723 0.7817 (multiplicity 2)